Record 1
The following is a computed XRD peak list of MgSi2. It was derived from a structure optimized by DFT (PBE), using CuKα.
Neutral-atom scattering factors, no anomalous dispersion.

Structural model:
```
MgSi2
1.0
3.687 0.000 0.000
-0.176 7.528 0.000
-0.711 -1.841 8.152
Mg Si
4 8
direct
0.000 0.000 0.000
0.050 0.324 0.378
0.503 0.341 0.956
0.576 0.694 0.448
0.049 0.555 0.174
0.067 0.978 0.447
0.373 0.685 0.804
0.464 0.991 0.740
0.526 0.033 0.272
0.535 0.724 0.097
0.836 0.503 0.683
0.960 0.185 0.696
```

Main lines, in order of rising 2θ (2θ from 10° to 80°):
2θ = 27.61°, I 76.2
2θ = 31.57°, I 79.8
2θ = 34.42°, I 88.3
2θ = 35.01°, I 100.0
2θ = 36.57°, I 73.3
2θ = 37.43°, I 79.9
2θ = 38.51°, I 74.0
2θ = 39.37°, I 65.7
2θ = 43.55°, I 65.6
2θ = 49.68°, I 69.4

Record 2
The following is a computed XRD peak list of Sr2GdRuO6. It was derived from a structure optimized by DFT (PBE), using CuKα.
Neutral-atom scattering factors, no anomalous dispersion.

Structural model:
```
Sr2GdRuO6
1.0
5.047 -2.938 0.000
5.047 2.938 0.000
-3.389 0.000 4.853
Sr Gd Ru O
2 1 1 6
direct
0.248 0.248 0.234
0.752 0.752 0.766
0.000 0.000 0.500
0.500 0.500 0.000
0.215 0.688 0.183
0.269 0.269 0.683
0.312 0.785 0.817
0.688 0.215 0.183
0.731 0.731 0.317
0.785 0.312 0.817
```

Main lines, in order of rising 2θ (2θ from 10° to 80°):
2θ = 21.31°, I 13.3
2θ = 30.23°, I 100.0
2θ = 30.42°, I 33.5
2θ = 30.62°, I 67.8
2θ = 43.40°, I 40.0
2θ = 43.75°, I 17.8
2θ = 53.44°, I 14.8
2θ = 53.95°, I 12.9
2θ = 54.18°, I 45.5
2θ = 71.87°, I 12.4

Record 3
The following is a computed XRD peak list of SnI3. It was derived from a structure optimized by DFT (PBE), using CuKα.
Neutral-atom scattering factors, no anomalous dispersion.

Structural model:
```
SnI3
1.0
8.277 0.000 0.000
0.000 8.277 0.000
0.000 0.000 11.924
Sn I
4 12
direct
0.000 0.000 0.000
0.000 0.000 0.500
0.500 0.500 0.000
0.500 0.500 0.500
0.000 0.000 0.250
0.000 0.000 0.750
0.176 0.324 0.000
0.176 0.676 0.500
0.324 0.176 0.500
0.324 0.824 0.000
0.500 0.500 0.250
0.500 0.500 0.750
0.676 0.176 0.000
0.676 0.824 0.500
0.824 0.324 0.500
0.824 0.676 0.000
```

Main lines, in order of rising 2θ (2θ from 10° to 80°):
2θ = 14.86°, I 80.5
2θ = 15.14°, I 97.2
2θ = 25.19°, I 100.0
2θ = 29.98°, I 61.1
2θ = 30.55°, I 53.1
2θ = 33.07°, I 49.1
2θ = 34.26°, I 88.5
2θ = 43.33°, I 40.7
2θ = 46.15°, I 76.6
2θ = 49.20°, I 35.5

Record 4
The following is a computed XRD peak list of B3Ir2. It was derived from a structure optimized by DFT (PBE), using CuKα.
Neutral-atom scattering factors, no anomalous dispersion.

Structural model:
```
B3Ir2
1.0
5.250 -1.559 0.000
5.250 1.559 0.000
-0.047 0.000 6.250
B Ir
6 4
direct
0.059 0.059 0.386
0.241 0.241 0.076
0.326 0.326 0.528
0.674 0.674 0.472
0.759 0.759 0.924
0.941 0.941 0.614
0.140 0.140 0.700
0.397 0.397 0.852
0.603 0.603 0.148
0.860 0.860 0.300
```

Main lines, in order of rising 2θ (2θ from 10° to 80°):
2θ = 28.56°, I 15.6
2θ = 33.22°, I 100.0
2θ = 33.48°, I 20.4
2θ = 34.16°, I 29.1
2θ = 41.46°, I 29.7
2θ = 48.91°, I 12.1
2θ = 53.57°, I 13.2
2θ = 54.61°, I 17.9
2θ = 59.33°, I 13.7
2θ = 70.23°, I 13.8

Record 5
The following is a computed XRD peak list of Mg14FeB. It was derived from a structure optimized by DFT (PBE), using CuKα.
Neutral-atom scattering factors, no anomalous dispersion.

Structural model:
```
Mg14FeB
1.0
9.819 0.000 0.000
0.000 3.198 5.261
0.000 -3.198 5.261
Mg Fe B
14 1 1
direct
0.000 0.000 0.000
0.000 0.002 0.507
0.000 0.495 0.495
0.000 0.507 0.002
0.250 0.180 0.180
0.251 0.667 0.667
0.300 0.167 0.698
0.300 0.698 0.167
0.500 0.455 0.966
0.500 0.966 0.455
0.700 0.167 0.698
0.700 0.698 0.167
0.749 0.667 0.667
0.750 0.180 0.180
0.500 0.496 0.496
0.500 0.027 0.027
```

Main lines, in order of rising 2θ (2θ from 10° to 80°):
2θ = 18.58°, I 10.0
2θ = 32.77°, I 14.5
2θ = 34.09°, I 19.5
2θ = 36.61°, I 25.3
2θ = 37.67°, I 100.0
2θ = 38.84°, I 25.9
2θ = 57.65°, I 8.8
2θ = 60.18°, I 10.7
2θ = 66.61°, I 9.0
2θ = 72.54°, I 8.6

Record 6
The following is a computed XRD peak list of CrAs. It was derived from a structure optimized by DFT (PBE), using CuKα.
Neutral-atom scattering factors, no anomalous dispersion.

Structural model:
```
CrAs
1.0
3.643 0.000 0.000
-1.822 3.155 0.000
0.000 0.000 5.634
Cr As
2 2
direct
0.000 0.000 0.000
0.000 0.000 0.500
0.333 0.667 0.250
0.667 0.333 0.750
```

Main lines, in order of rising 2θ (2θ from 10° to 80°):
2θ = 28.28°, I 4.1
2θ = 32.52°, I 100.0
2θ = 43.05°, I 85.0
2θ = 50.07°, I 54.0
2θ = 57.07°, I 19.5
2θ = 60.53°, I 2.7
2θ = 60.99°, I 15.9
2θ = 66.37°, I 7.4
2θ = 68.12°, I 19.6
2θ = 79.32°, I 7.5

Record 7
The following is a computed XRD peak list of MgZn5. It was derived from a structure optimized by DFT (PBE), using CuKα.
Neutral-atom scattering factors, no anomalous dispersion.

Structural model:
```
MgZn5
1.0
2.359 1.362 5.011
-2.359 1.362 5.011
0.000 -2.724 5.011
Mg Zn
1 5
direct
0.000 0.000 0.000
0.170 0.830 0.500
0.335 0.335 0.335
0.500 0.170 0.830
0.665 0.665 0.665
0.830 0.500 0.170
```

Main lines, in order of rising 2θ (2θ from 10° to 80°):
2θ = 17.70°, I 2.8
2θ = 22.55°, I 5.8
2θ = 24.80°, I 3.0
2θ = 32.36°, I 2.3
2θ = 35.84°, I 35.6
2θ = 38.15°, I 23.4
2θ = 42.34°, I 100.0
2θ = 53.34°, I 17.0
2θ = 68.90°, I 35.9
2θ = 75.95°, I 4.0